1.
Structure and simulated X-ray powder pattern of CaLa7Y3 (a structure optimized by DFT (GGA-PBE); CuKα).

Top 6 peaks for 2θ = 10–90°, low angle first:
14.92°, I 262
29.66°, I 654
30.11°, I 605
30.33°, I 1000
31.78°, I 473
36.38°, I 636

Crystal structure
Cell lengths 7.897, 7.897, 6.694 Å; angles 93.40, 93.40, 82.12 degrees
Fractional positions:
Ca 0.000 0.000 0.000
La 0.000 0.000 0.500
La 0.072 0.430 0.757
La 0.265 0.265 0.297
La 0.430 0.072 0.757
La 0.570 0.928 0.243
La 0.735 0.735 0.703
La 0.928 0.570 0.243
Y 0.335 0.665 0.500
Y 0.500 0.500 0.000
Y 0.665 0.335 0.500



2.
Structure and simulated X-ray powder pattern of CaLa4Y5 (a structure optimized by DFT (GGA-PBE); CuKα).

Top 6 peaks for 2θ = 10–90°, low angle first:
29.80°, I 1000
29.99°, I 326
34.60°, I 667
49.56°, I 157
49.86°, I 232
59.02°, I 276

Crystal structure
Cell lengths 9.703, 9.703, 10.388 Å; angles 105.97, 105.97, 21.79 degrees
Fractional positions:
Ca 0.000 0.000 0.000
La 0.202 0.202 0.602
La 0.399 0.399 0.205
La 0.601 0.601 0.795
La 0.798 0.798 0.398
Y 0.000 0.000 0.500
Y 0.201 0.201 0.101
Y 0.397 0.397 0.692
Y 0.603 0.603 0.308
Y 0.799 0.799 0.899



3.
Structure and simulated X-ray powder pattern of CaLaZn2 (a structure optimized by DFT (GGA-PBE); CuKα).

Top 6 peaks for 2θ = 10–90°, low angle first:
18.89°, I 171
30.10°, I 209
33.06°, I 173
34.40°, I 295
34.57°, I 1000
61.73°, I 176

Crystal structure
Cell lengths 6.275, 6.275, 6.275 Å; angles 146.77, 130.91, 60.57 degrees
Fractional positions:
Ca 0.000 0.000 0.000
La 0.298 0.798 0.500
Zn 0.553 0.553 0.000
Zn 0.728 0.228 0.500



4.
Structure and simulated X-ray powder pattern of CaLa2Zn2 (a structure optimized by DFT (GGA-PBE); CuKα).

Top 6 peaks for 2θ = 10–90°, low angle first:
17.60°, I 124
31.27°, I 182
33.28°, I 295
33.39°, I 1000
46.31°, I 120
59.54°, I 182

Crystal structure
Cell lengths 3.680, 5.385, 14.420 Å; angles 90.00, 97.38, 90.00 degrees
Fractional positions:
Ca 0.142 0.250 0.282
Ca 0.858 0.750 0.718
La 0.046 0.750 0.093
La 0.229 0.750 0.459
La 0.771 0.250 0.541
La 0.954 0.250 0.907
Zn 0.361 0.250 0.723
Zn 0.451 0.750 0.902
Zn 0.549 0.250 0.098
Zn 0.639 0.750 0.277



5.
Structure and simulated X-ray powder pattern of Ca2LaZn2 (a structure optimized by DFT (GGA-PBE); CuKα).

Top 6 peaks for 2θ = 10–90°, low angle first:
28.42°, I 305
29.72°, I 332
31.85°, I 1000
33.03°, I 555
34.58°, I 715
63.66°, I 262

Crystal structure
Cell lengths 8.884, 8.884, 3.424 Å; angles 90.00, 90.00, 90.00 degrees
Fractional positions:
Ca 0.132 0.368 0.000
Ca 0.368 0.868 0.000
Ca 0.632 0.132 0.000
Ca 0.868 0.632 0.000
La 0.000 0.000 0.000
La 0.500 0.500 0.000
Zn 0.166 0.666 0.500
Zn 0.334 0.166 0.500
Zn 0.666 0.834 0.500
Zn 0.834 0.334 0.500



6.
Structure and simulated X-ray powder pattern of CaLa2Zn9 (a structure optimized by DFT (GGA-PBE); CuKα).

Top 6 peaks for 2θ = 10–90°, low angle first:
30.02°, I 263
32.04°, I 381
37.33°, I 333
38.15°, I 1000
41.01°, I 488
67.01°, I 259

Crystal structure
Cell lengths 9.385, 9.385, 9.385 Å; angles 34.63, 34.63, 34.63 degrees
Fractional positions:
Ca 0.000 0.000 0.000
La 0.142 0.142 0.142
La 0.858 0.858 0.858
Zn 0.077 0.582 0.582
Zn 0.335 0.335 0.335
Zn 0.418 0.418 0.923
Zn 0.418 0.923 0.418
Zn 0.500 0.500 0.500
Zn 0.582 0.077 0.582
Zn 0.582 0.582 0.077
Zn 0.665 0.665 0.665
Zn 0.923 0.418 0.418



7.
Structure and simulated X-ray powder pattern of Li13Ca2 (a structure optimized by DFT (GGA-PBE); CuKα).

Top 6 peaks for 2θ = 10–90°, low angle first:
12.68°, I 588
13.94°, I 454
23.10°, I 688
26.44°, I 1000
34.69°, I 559
35.89°, I 406

Crystal structure
Cell lengths 8.277, 8.277, 8.277 Å; angles 55.44, 55.44, 55.44 degrees
Fractional positions:
Li 0.000 0.000 0.000
Li 0.169 0.169 0.557
Li 0.169 0.557 0.169
Li 0.314 0.314 0.675
Li 0.314 0.675 0.314
Li 0.325 0.686 0.686
Li 0.443 0.831 0.831
Li 0.557 0.169 0.169
Li 0.675 0.314 0.314
Li 0.686 0.325 0.686
Li 0.686 0.686 0.325
Li 0.831 0.443 0.831
Li 0.831 0.831 0.443
Ca 0.164 0.164 0.164
Ca 0.836 0.836 0.836



8.
Structure and simulated X-ray powder pattern of LiCa7 (a structure optimized by DFT (GGA-PBE); CuKα).

Top 6 peaks for 2θ = 10–90°, low angle first:
28.55°, I 1000
33.08°, I 495
47.48°, I 323
56.34°, I 365
76.70°, I 132
79.08°, I 119

Crystal structure
Cell lengths 11.497, 11.497, 11.497 Å; angles 152.76, 152.76, 38.90 degrees
Fractional positions:
Li 0.000 0.000 0.000
Ca 0.120 0.620 0.500
Ca 0.252 0.252 0.000
Ca 0.380 0.880 0.500
Ca 0.500 0.500 0.000
Ca 0.620 0.120 0.500
Ca 0.748 0.748 0.000
Ca 0.880 0.380 0.500



9.
Structure and simulated X-ray powder pattern of LiCa2 (a structure optimized by DFT (GGA-PBE); CuKα).

Top 6 peaks for 2θ = 10–90°, low angle first:
22.53°, I 769
28.32°, I 1000
32.07°, I 356
43.30°, I 487
53.30°, I 122
58.58°, I 109

Crystal structure
Cell lengths 7.894, 7.894, 3.819 Å; angles 90.00, 90.00, 90.00 degrees
Fractional positions:
Li 0.000 0.000 0.000
Li 0.500 0.500 0.500
Ca 0.228 0.228 0.500
Ca 0.272 0.728 0.000
Ca 0.728 0.272 0.000
Ca 0.772 0.772 0.500



10.
Structure and simulated X-ray powder pattern of Li11Ca (a structure optimized by DFT (GGA-PBE); CuKα).

Top 6 peaks for 2θ = 10–90°, low angle first:
13.63°, I 660
20.47°, I 686
25.19°, I 508
29.89°, I 529
33.39°, I 1000
34.39°, I 545

Crystal structure
Cell lengths 9.127, 9.127, 9.127 Å; angles 100.59, 100.59, 129.23 degrees
Fractional positions:
Li 0.000 0.000 0.000
Li 0.000 0.000 0.500
Li 0.000 0.500 0.000
Li 0.125 0.875 0.250
Li 0.131 0.555 0.332
Li 0.131 0.799 0.576
Li 0.201 0.277 0.332
Li 0.201 0.869 0.924
Li 0.277 0.201 0.832
Li 0.277 0.445 0.076
Li 0.445 0.277 0.576
Li 0.445 0.869 0.168
Li 0.500 0.000 0.500
Li 0.555 0.131 0.832
Li 0.555 0.723 0.424
Li 0.723 0.555 0.924
Li 0.723 0.799 0.168
Li 0.799 0.131 0.076
Li 0.799 0.723 0.668
Li 0.869 0.201 0.424
Li 0.869 0.445 0.668
Li 0.875 0.125 0.750
Ca 0.375 0.625 0.750
Ca 0.625 0.375 0.250



11.
Structure and simulated X-ray powder pattern of Li23Ca6 (a structure optimized by DFT (GGA-PBE); CuKα).

Top 6 peaks for 2θ = 10–90°, low angle first:
10.77°, I 402
21.63°, I 771
25.03°, I 400
27.32°, I 450
32.70°, I 1000
35.69°, I 455

Crystal structure
Cell lengths 10.062, 10.062, 10.062 Å; angles 60.00, 60.00, 60.00 degrees
Fractional positions:
Li 0.000 0.000 0.000
Li 0.000 0.000 0.500
Li 0.000 0.500 0.000
Li 0.000 0.500 0.500
Li 0.024 0.325 0.325
Li 0.119 0.119 0.119
Li 0.119 0.119 0.642
Li 0.119 0.642 0.119
Li 0.325 0.024 0.325
Li 0.325 0.325 0.024
Li 0.325 0.325 0.325
Li 0.358 0.881 0.881
Li 0.500 0.000 0.000
Li 0.500 0.000 0.500
Li 0.500 0.500 0.000
Li 0.642 0.119 0.119
Li 0.675 0.675 0.675
Li 0.675 0.675 0.976
Li 0.675 0.976 0.675
Li 0.881 0.358 0.881
Li 0.881 0.881 0.358
Li 0.881 0.881 0.881
Li 0.976 0.675 0.675
Ca 0.299 0.299 0.701
Ca 0.299 0.701 0.299
Ca 0.299 0.701 0.701
Ca 0.701 0.299 0.299
Ca 0.701 0.299 0.701
Ca 0.701 0.701 0.299



12.
Structure and simulated X-ray powder pattern of Li3Ca5 (a structure optimized by DFT (GGA-PBE); CuKα).

Top 6 peaks for 2θ = 10–90°, low angle first:
22.93°, I 529
25.99°, I 215
30.65°, I 1000
31.78°, I 519
41.50°, I 224
55.91°, I 315

Crystal structure
Cell lengths 3.983, 3.983, 17.139 Å; angles 90.00, 90.00, 90.00 degrees
Fractional positions:
Li 0.000 0.000 0.000
Li 0.500 0.500 0.384
Li 0.500 0.500 0.616
Ca 0.000 0.000 0.271
Ca 0.000 0.000 0.500
Ca 0.000 0.000 0.729
Ca 0.500 0.500 0.114
Ca 0.500 0.500 0.886



13.
Structure and simulated X-ray powder pattern of Li12Ca (a structure optimized by DFT (GGA-PBE); CuKα).

Top 6 peaks for 2θ = 10–90°, low angle first:
12.33°, I 919
18.15°, I 769
25.30°, I 1000
30.92°, I 568
35.73°, I 950
36.78°, I 539

Crystal structure
Cell lengths 7.699, 7.699, 7.699 Å; angles 97.54, 97.54, 137.53 degrees
Fractional positions:
Li 0.000 0.000 0.500
Li 0.000 0.217 0.217
Li 0.000 0.500 0.000
Li 0.000 0.783 0.783
Li 0.142 0.500 0.642
Li 0.217 0.000 0.217
Li 0.500 0.000 0.000
Li 0.500 0.142 0.642
Li 0.500 0.500 0.500
Li 0.500 0.858 0.358
Li 0.783 0.000 0.783
Li 0.858 0.500 0.358
Ca 0.500 0.500 0.000